Structure and computed powder XRD pattern of V2CdP2O14 (a GGA+U-relaxed structure; CuKα).

Principal peaks in the range 10 to 90 degrees two-theta, sorted by position:
| (hkl) | two_theta | intensity |
| --- | --- | --- |
| 0 0 1 | 12.54 | 100 |
| 1 0 0 | 14.06 | 74 |
| 0 1 0 | 14.53 | 40 |
| 1 -1 0 | 20.00 | 39 |
| 1 1 0 | 20.54 | 43 |
| 0 1 -2 | 25.52 | 39 |
| 2 0 0 | 28.34 | 54 |
| 0 2 0 | 29.30 | 57 |
| 1 0 2 | 30.21 | 38 |
| 2 0 1 | 32.22 | 40 |

Cell and atoms:
a b c (Å): 6.3270 6.3330 7.3604
angles (deg): 105.61 95.30 90.02
Atoms (fractional coordinates):
V 0.0000 0.0000 0.0000
V 0.4761 0.4236 0.8008
Cd 0.4100 0.4050 0.2883
P 0.4946 0.9715 0.9242
P 0.9961 0.4722 0.9249
O 0.0123 0.7185 0.0482
O 0.0274 0.3248 0.0677
O 0.0545 0.0425 0.4053
O 0.1607 0.7246 0.4367
O 0.1647 0.4274 0.7837
O 0.2095 0.9160 0.4199
O 0.3164 0.0264 0.0657
O 0.4552 0.3575 0.5531
O 0.4710 0.1113 0.7829
O 0.4820 0.7351 0.8056
O 0.4864 0.4936 0.0518
O 0.7110 0.0288 0.0542
O 0.7830 0.4226 0.8066
O 0.9796 0.9377 0.7749